Calculated X-ray diffraction stick pattern
Compound: La3Sm13
Radiation: CuKα
Structure: a crystal structure in Alexandria, relaxed with GGA-PBE

Atomic structure:
Cell lengths 10.3462, 7.2988, 7.2988 Å; angles 89.89, 90.00, 90.00 degrees
Fractional positions:
La  0.0000  0.0000  0.0000
La  0.2504  0.2531  0.2531
La  0.7496  0.2531  0.2531
Sm  0.0000  0.0009  0.5034
Sm  0.0000  0.5034  0.0009
Sm  0.0000  0.5043  0.5043
Sm  0.2513  0.2528  0.7517
Sm  0.2513  0.7517  0.2528
Sm  0.2518  0.7514  0.7514
Sm  0.5000  0.0011  0.0011
Sm  0.5000  0.0008  0.5042
Sm  0.5000  0.5042  0.0008
Sm  0.5000  0.5039  0.5039
Sm  0.7482  0.7514  0.7514
Sm  0.7487  0.2528  0.7517
Sm  0.7487  0.7517  0.2528

Top 10 peaks for 15 to 90 degrees two-theta, sorted by position:
| 2θ (°) | I (rel.) |
| --- | --- |
| 30.0 | 100 |
| 34.7 | 34 |
| 34.8 | 17 |
| 49.9 | 36 |
| 59.3 | 29 |
| 59.4 | 14 |
| 62.3 | 12 |
| 81.1 | 12 |
| 81.2 | 6 |
| 83.7 | 8 |

***

Calculated X-ray diffraction stick pattern
Compound: RbHPdF6
Radiation: CuKα
Structure: a crystal structure in Alexandria, relaxed with GGA-PBE

Atomic structure:
Cell lengths 4.8316, 5.7226, 5.7298 Å; angles 76.10, 65.45, 78.41 degrees
Fractional positions:
Rb  0.0000  0.0000  0.0000
H  0.1249  0.3513  0.3588
Pd  0.4914  0.5211  0.5153
F  0.0825  0.6089  0.7376
F  0.3259  0.2698  0.4225
F  0.4408  0.7540  0.2228
F  0.5448  0.2788  0.8015
F  0.6230  0.7714  0.5977
F  0.9307  0.4170  0.2806

Top 10 peaks for 15 to 90 degrees two-theta, sorted by position:
| 2θ (°) | I (rel.) |
| --- | --- |
| 21.0 | 100 |
| 21.5 | 99 |
| 24.5 | 48 |
| 25.7 | 73 |
| 27.5 | 45 |
| 31.6 | 45 |
| 34.0 | 55 |
| 40.6 | 44 |
| 41.4 | 28 |
| 51.8 | 24 |

***

Calculated X-ray diffraction stick pattern
Compound: CaNd3Ga3
Radiation: CuKα
Structure: a crystal structure in Alexandria, relaxed with GGA-PBE

Atomic structure:
Cell lengths 7.3850, 7.3850, 7.1687 Å; angles 90.00, 90.00, 91.12 degrees
Fractional positions:
Ca  0.2195  0.2195  0.0000
Ca  0.7805  0.7805  0.0000
Nd  0.2317  0.7683  0.5000
Nd  0.2556  0.2556  0.5000
Nd  0.2781  0.7219  0.0000
Nd  0.7219  0.2781  0.0000
Nd  0.7444  0.7444  0.5000
Nd  0.7683  0.2317  0.5000
Ga  0.0000  0.5000  0.2462
Ga  0.0000  0.5000  0.7538
Ga  0.5000  0.0000  0.2462
Ga  0.5000  0.0000  0.7538
Ga  0.5000  0.5000  0.2646
Ga  0.5000  0.5000  0.7354

Top 10 peaks for 15 to 90 degrees two-theta, sorted by position:
| 2θ (°) | I (rel.) |
| --- | --- |
| 24.1 | 16 |
| 34.0 | 24 |
| 34.7 | 26 |
| 34.9 | 100 |
| 49.4 | 16 |
| 51.0 | 9 |
| 61.4 | 14 |
| 62.3 | 17 |
| 63.1 | 9 |
| 73.7 | 9 |

***

Repeat the third record exactly.
Calculated X-ray diffraction stick pattern
Compound: CaNd3Ga3
Radiation: CuKα
Structure: a crystal structure in Alexandria, relaxed with GGA-PBE

Atomic structure:
Cell lengths 7.3850, 7.3850, 7.1687 Å; angles 90.00, 90.00, 91.12 degrees
Fractional positions:
Ca  0.2195  0.2195  0.0000
Ca  0.7805  0.7805  0.0000
Nd  0.2317  0.7683  0.5000
Nd  0.2556  0.2556  0.5000
Nd  0.2781  0.7219  0.0000
Nd  0.7219  0.2781  0.0000
Nd  0.7444  0.7444  0.5000
Nd  0.7683  0.2317  0.5000
Ga  0.0000  0.5000  0.2462
Ga  0.0000  0.5000  0.7538
Ga  0.5000  0.0000  0.2462
Ga  0.5000  0.0000  0.7538
Ga  0.5000  0.5000  0.2646
Ga  0.5000  0.5000  0.7354

Top 10 peaks for 15 to 90 degrees two-theta, sorted by position:
| 2θ (°) | I (rel.) |
| --- | --- |
| 24.1 | 16 |
| 34.0 | 24 |
| 34.7 | 26 |
| 34.9 | 100 |
| 49.4 | 16 |
| 51.0 | 9 |
| 61.4 | 14 |
| 62.3 | 17 |
| 63.1 | 9 |
| 73.7 | 9 |